Diffraction record for KCrReC2. The powder XRD pattern is calculated, not measured: it uses a DFT-relaxed cell (GGA-PBE, Alexandria) and Cu Kα X-rays.

Peak list (10 most intense, 15° ≤ 2θ ≤ 90°, in order of falling intensity)
22.0 deg, 4.047 Å, intensity 100.0
31.3 deg, 2.862 Å, intensity 71.2
44.8 deg, 2.023 Å, intensity 66.2
50.4 deg, 1.810 Å, intensity 59.6
36.8 deg, 2.440 Å, intensity 50.7
19.0 deg, 4.671 Å, intensity 37.7
65.2 deg, 1.431 Å, intensity 31.4
38.5 deg, 2.336 Å, intensity 27.2
60.5 deg, 1.529 Å, intensity 27.1
86.8 deg, 1.122 Å, intensity 25.4

Structural model:
```
data_KCrReC2
_space_group_name_H-M_alt 'P 4/m m m'
_space_group_IT_number 123
_space_group_name_Hall '-P 4 2'
_cell_length_a 4.047
_cell_length_b 4.047
_cell_length_c 4.671
_cell_angle_alpha 90.00
_cell_angle_beta 90.00
_cell_angle_gamma 90.00
loop_
_atom_site_label
_atom_site_type_symbol
_atom_site_fract_x
_atom_site_fract_y
_atom_site_fract_z
K1 K 0.000 0.000 0.000
Cr1 Cr 0.500 0.500 0.500
Re1 Re 0.500 0.500 0.000
C1 C 0.000 0.500 0.500
```

Diffraction record for LaCr2C3. The powder XRD pattern is calculated, not measured: it uses a DFT-relaxed cell (GGA-PBE, Alexandria) and Cu Kα X-rays.

Peak list (10 most intense, 15° ≤ 2θ ≤ 90°, in order of falling intensity)
24.2 deg, 3.671 Å, intensity 100.0
32.7 deg, 2.735 Å, intensity 60.2
40.8 deg, 2.212 Å, intensity 55.9
35.5 deg, 2.530 Å, intensity 40.1
30.4 deg, 2.943 Å, intensity 38.9
45.9 deg, 1.977 Å, intensity 33.7
63.4 deg, 1.467 Å, intensity 32.0
46.2 deg, 1.963 Å, intensity 22.2
36.4 deg, 2.468 Å, intensity 16.1
49.7 deg, 1.833 Å, intensity 15.6

Structural model:
```
data_LaCr2C3
_space_group_name_H-M_alt 'C m c m'
_space_group_IT_number 63
_space_group_name_Hall '-C 2c 2'
_cell_length_a 6.571
_cell_length_b 9.874
_cell_length_c 4.951
_cell_angle_alpha 90.00
_cell_angle_beta 90.00
_cell_angle_gamma 90.00
loop_
_atom_site_label
_atom_site_type_symbol
_atom_site_fract_x
_atom_site_fract_y
_atom_site_fract_z
La1 La 0.000 0.207 0.250
Cr1 Cr 0.189 0.500 0.000
C1 C 0.000 0.413 0.750
C2 C 0.110 0.077 0.750
```

Diffraction record for LaNpCrC3. The powder XRD pattern is calculated, not measured: it uses a DFT-relaxed cell (GGA-PBE, Alexandria) and Cu Kα X-rays.

Peak list (10 most intense, 15° ≤ 2θ ≤ 90°, in order of falling intensity)
35.1 deg, 2.559 Å, intensity 100.0
27.6 deg, 3.227 Å, intensity 95.5
31.1 deg, 2.879 Å, intensity 84.2
34.7 deg, 2.587 Å, intensity 62.1
15.4 deg, 5.761 Å, intensity 61.1
28.9 deg, 3.086 Å, intensity 52.5
35.7 deg, 2.516 Å, intensity 41.4
36.0 deg, 2.497 Å, intensity 39.8
23.8 deg, 3.746 Å, intensity 35.8
47.7 deg, 1.906 Å, intensity 31.1

Structural model:
```
data_LaNpCrC3
_space_group_name_H-M_alt 'P 1 21/m 1'
_space_group_IT_number 11
_space_group_name_Hall '-P 2yb'
_cell_length_a 7.439
_cell_length_b 3.576
_cell_length_c 7.607
_cell_angle_alpha 90.00
_cell_angle_beta 99.99
_cell_angle_gamma 90.00
loop_
_atom_site_label
_atom_site_type_symbol
_atom_site_fract_x
_atom_site_fract_y
_atom_site_fract_z
La1 La 0.173 0.250 0.194
Np1 Np 0.357 0.750 0.828
Cr1 Cr 0.095 0.250 0.594
C1 C 0.124 0.250 0.839
C2 C 0.157 0.750 0.525
C3 C 0.432 0.750 0.123
```

Diffraction record for LaPa2CrC4. The powder XRD pattern is calculated, not measured: it uses a DFT-relaxed cell (GGA-PBE, Alexandria) and Cu Kα X-rays.

Peak list (10 most intense, 15° ≤ 2θ ≤ 90°, in order of falling intensity)
29.9 deg, 2.990 Å, intensity 100.0
26.7 deg, 3.343 Å, intensity 88.0
36.9 deg, 2.438 Å, intensity 69.6
30.0 deg, 2.977 Å, intensity 56.9
50.9 deg, 1.794 Å, intensity 46.7
60.2 deg, 1.537 Å, intensity 43.7
45.8 deg, 1.981 Å, intensity 37.7
51.3 deg, 1.781 Å, intensity 36.7
34.5 deg, 2.601 Å, intensity 28.3
29.5 deg, 3.030 Å, intensity 24.1

Structural model:
```
data_LaPa2CrC4
_space_group_name_H-M_alt 'C m c m'
_space_group_IT_number 63
_space_group_name_Hall '-C 2c 2'
_cell_length_a 3.591
_cell_length_b 11.908
_cell_length_c 12.120
_cell_angle_alpha 90.00
_cell_angle_beta 90.00
_cell_angle_gamma 90.00
loop_
_atom_site_label
_atom_site_type_symbol
_atom_site_fract_x
_atom_site_fract_y
_atom_site_fract_z
La1 La 0.000 0.101 0.250
Pa1 Pa 0.000 0.367 0.048
Cr1 Cr 0.000 0.167 0.750
C1 C 0.000 0.000 0.000
C2 C 0.000 0.258 0.625
C3 C 0.000 0.404 0.250
```